TaGaP2SO12: simulated XRD peak list (Cu Kα, 1.54184 Å), based on the GGA-PBE geometry in the Materials Project.

Structure:
```
TaGaP2SO12
1.0
7.5027 -4.3050 0.0000
7.5027 4.3050 0.0000
-4.9557 0.0000 7.4418
Ta Ga P S O
2 2 4 2 24
direct
0.2412 0.7588 0.5000
0.7588 0.2412 0.0000
0.0410 0.5360 0.8628
0.5360 0.0410 0.3628
0.1525 0.3532 0.1732
0.3532 0.1525 0.6732
0.8495 0.9218 0.1719
0.9218 0.8495 0.6719
0.4288 0.6497 0.1744
0.6497 0.4288 0.6744
0.0310 0.8986 0.3411
0.1034 0.8285 0.6502
0.1226 0.3838 0.0066
0.1712 0.5325 0.3419
0.1787 0.3196 0.7061
0.2679 0.6245 0.0136
0.3196 0.1787 0.2061
0.3319 0.9685 0.6455
0.3838 0.1226 0.5066
0.4060 0.6646 0.3368
0.4610 0.8107 0.1992
0.4764 0.6024 0.6509
0.5325 0.1712 0.8419
0.6024 0.4764 0.1509
0.6245 0.2679 0.5136
0.6646 0.4060 0.8368
0.6776 0.9637 0.2080
0.7571 0.8840 0.5065
0.8107 0.4610 0.6992
0.8285 0.1034 0.1502
0.8840 0.7571 0.0065
0.8986 0.0310 0.8411
0.9637 0.6776 0.7080
0.9685 0.3319 0.1455
```

Main lines, by intensity (10° ≤ 2θ ≤ 80°):
2θ (°)  Rel. int.
19.85  100
20.57  72
14.29  47
31.81  39
28.81  38
23.87  33
14.18  26
35.57  21
28.59  20
31.64  18